Record 1
Calculated powder X-ray diffraction pattern of InCu6ClO8 for Cu Kα (weighted mean of Kα1 and Kα2), from a structure optimized by DFT (GGA-PBE).

Structural model:
a = 6.5229 Å, b = 6.5229 Å, c = 6.5229 Å
α = 60.00°, β = 60.00°, γ = 60.00°
Positions (direct):
In: 0.0000 0.0000 0.0000
Cu: 0.0000 0.0000 0.5000
Cu: 0.0000 0.5000 0.0000
Cu: 0.0000 0.5000 0.5000
Cu: 0.5000 0.0000 0.0000
Cu: 0.5000 0.0000 0.5000
Cu: 0.5000 0.5000 0.0000
Cl: 0.5000 0.5000 0.5000
O: 0.1425 0.1425 0.1425
O: 0.1425 0.1425 0.5724
O: 0.1425 0.5724 0.1425
O: 0.4276 0.8575 0.8575
O: 0.5724 0.1425 0.1425
O: 0.8575 0.4276 0.8575
O: 0.8575 0.8575 0.4276
O: 0.8575 0.8575 0.8575

Top 10 peaks for 5° ≤ 2θ ≤ 70°, in order of falling intensity:
two_theta, Rel. int.
33.7, 100.0
56.4, 42.7
67.3, 35.9
39.1, 31.2
16.6, 22.8
42.7, 10.1
59.3, 3.4
51.5, 1.4
32.2, 1.1
43.9, 0.6


Record 2
Calculated powder X-ray diffraction pattern of Rb2InCuCl6 for Cu Kα (weighted mean of Kα1 and Kα2), from a structure optimized by DFT (GGA-PBE).

Structural model:
a = 7.2459 Å, b = 7.2459 Å, c = 7.2459 Å
α = 60.00°, β = 60.00°, γ = 60.00°
Positions (direct):
Rb: 0.2500 0.2500 0.2500
Rb: 0.7500 0.7500 0.7500
In: 0.0000 0.0000 0.0000
Cu: 0.5000 0.5000 0.5000
Cl: 0.2526 0.2526 0.7474
Cl: 0.2526 0.7474 0.2526
Cl: 0.2526 0.7474 0.7474
Cl: 0.7474 0.2526 0.2526
Cl: 0.7474 0.2526 0.7474
Cl: 0.7474 0.7474 0.2526

Top 10 peaks for 5° ≤ 2θ ≤ 70°, in order of falling intensity:
two_theta, Rel. int.
24.6, 100.0
35.0, 80.2
50.4, 52.7
43.3, 45.2
68.5, 22.7
30.2, 20.6
56.8, 20.1
62.8, 17.4
17.3, 11.6
59.9, 6.7


Record 3
Calculated powder X-ray diffraction pattern of KCuCl3 for Cu Kα (weighted mean of Kα1 and Kα2), from a structure optimized by DFT (GGA-PBE).

Structural model:
a = 4.2768 Å, b = 13.8805 Å, c = 8.9652 Å
α = 90.00°, β = 100.15°, γ = 90.00°
Positions (direct):
K: 0.2207 0.1675 0.4413
K: 0.2207 0.3325 0.9413
K: 0.7793 0.6675 0.0587
K: 0.7793 0.8325 0.5587
Cu: 0.2424 0.5498 0.6549
Cu: 0.2424 0.9502 0.1549
Cu: 0.7576 0.0498 0.8451
Cu: 0.7576 0.4502 0.3451
Cl: 0.1675 0.0982 0.0353
Cl: 0.1675 0.4018 0.5353
Cl: 0.2777 0.6985 0.7602
Cl: 0.2777 0.8015 0.2602
Cl: 0.3376 0.5090 0.1782
Cl: 0.3376 0.9910 0.6782
Cl: 0.6624 0.0090 0.3218
Cl: 0.6624 0.4910 0.8218
Cl: 0.7223 0.1985 0.7398
Cl: 0.7223 0.3015 0.2398
Cl: 0.8325 0.5982 0.4647
Cl: 0.8325 0.9018 0.9647

Top 10 peaks for 5° ≤ 2θ ≤ 70°, in order of falling intensity:
two_theta, Rel. int.
29.6, 100.0
12.8, 95.3
22.7, 89.9
43.0, 83.1
27.3, 81.1
26.6, 70.3
11.9, 68.2
38.9, 50.4
32.5, 47.4
34.4, 46.4


Record 4
Calculated powder X-ray diffraction pattern of KCuCl3 for Cu Kα (weighted mean of Kα1 and Kα2), from a structure optimized by DFT (GGA-PBE).

Structural model:
a = 4.7578 Å, b = 14.3721 Å, c = 9.8310 Å
α = 90.00°, β = 90.76°, γ = 90.00°
Positions (direct):
K: 0.2428 0.1504 0.0367
K: 0.2428 0.3496 0.5367
K: 0.7572 0.6504 0.4633
K: 0.7572 0.8496 0.9633
Cu: 0.3585 0.0402 0.6486
Cu: 0.3585 0.4598 0.1486
Cu: 0.6415 0.5402 0.8514
Cu: 0.6415 0.9598 0.3514
Cl: 0.2206 0.1803 0.7224
Cl: 0.2206 0.3197 0.2224
Cl: 0.2587 0.5304 0.3483
Cl: 0.2587 0.9696 0.8483
Cl: 0.4724 0.0971 0.4388
Cl: 0.4724 0.4029 0.9388
Cl: 0.5276 0.5971 0.0612
Cl: 0.5276 0.9029 0.5612
Cl: 0.7413 0.0304 0.1517
Cl: 0.7413 0.4696 0.6517
Cl: 0.7794 0.6803 0.7776
Cl: 0.7794 0.8197 0.2776

Top 10 peaks for 5° ≤ 2θ ≤ 70°, in order of falling intensity:
two_theta, Rel. int.
21.8, 100.0
12.3, 52.7
19.7, 44.3
18.7, 22.6
32.5, 17.8
22.4, 17.6
10.9, 17.0
38.7, 16.7
38.1, 16.4
48.0, 15.6


Record 5
Calculated powder X-ray diffraction pattern of KCuCl3 for Cu Kα (weighted mean of Kα1 and Kα2), from a structure optimized by DFT (GGA-PBE).

Structural model:
a = 4.8585 Å, b = 4.8585 Å, c = 4.8585 Å
α = 90.00°, β = 90.00°, γ = 90.00°
Positions (direct):
K: 0.0000 0.0000 0.0000
Cu: 0.5000 0.5000 0.5000
Cl: 0.0000 0.5000 0.5000
Cl: 0.5000 0.0000 0.5000
Cl: 0.5000 0.5000 0.0000

Top 10 peaks for 5° ≤ 2θ ≤ 70°, in order of falling intensity:
two_theta, Rel. int.
37.0, 100.0
53.3, 61.7
25.9, 60.8
18.3, 55.4
31.9, 27.6
45.7, 25.7
41.6, 25.5
66.7, 19.7
56.9, 11.9
60.2, 10.5


Record 6
Calculated powder X-ray diffraction pattern of K2CuCl3 for Cu Kα (weighted mean of Kα1 and Kα2), from a structure optimized by DFT (GGA-PBE).

Structural model:
a = 12.2390 Å, b = 4.1678 Å, c = 12.6924 Å
α = 90.00°, β = 90.00°, γ = 90.00°
Positions (direct):
K: 0.0126 0.2500 0.1758
K: 0.1740 0.2500 0.5188
K: 0.3260 0.7500 0.0188
K: 0.4874 0.7500 0.6758
K: 0.5126 0.2500 0.3242
K: 0.6740 0.2500 0.9812
K: 0.8260 0.7500 0.4812
K: 0.9874 0.7500 0.8242
Cu: 0.2475 0.7500 0.3025
Cu: 0.2525 0.2500 0.8025
Cu: 0.7475 0.7500 0.1975
Cu: 0.7525 0.2500 0.6975
Cl: 0.0643 0.7500 0.3589
Cl: 0.1344 0.2500 0.9463
Cl: 0.2246 0.7500 0.7123
Cl: 0.2754 0.2500 0.2123
Cl: 0.3656 0.7500 0.4463
Cl: 0.4357 0.2500 0.8589
Cl: 0.5643 0.7500 0.1411
Cl: 0.6344 0.2500 0.5537
Cl: 0.7246 0.7500 0.7877
Cl: 0.7754 0.2500 0.2877
Cl: 0.8656 0.7500 0.0537
Cl: 0.9357 0.2500 0.6411

Top 10 peaks for 5° ≤ 2θ ≤ 70°, in order of falling intensity:
two_theta, Rel. int.
31.0, 100.0
32.5, 66.6
43.4, 53.0
14.5, 49.9
29.5, 46.2
15.7, 40.8
14.0, 31.6
26.6, 31.5
31.8, 30.1
30.1, 29.9